This entry pairs a crystal structure of K2WCl6 with its theoretical powder XRD pattern. Radiation: λ = 1.5418 Å (Cu Kα). Structure: a GGA-PBE-relaxed structure.
No peak broadening, texture or thermal motion is included.

Most intense lines, 15° ≤ 2θ ≤ 90°, in order of rising 2θ:
hkl 1 1 1, 2θ = 15.3°, intensity 100
hkl 2 0 0, 2θ = 17.7°, intensity 42
hkl 2 2 0, 2θ = 25.1°, intensity 44
hkl 3 1 1, 2θ = 29.6°, intensity 50
hkl 4 0 0, 2θ = 35.8°, intensity 54
hkl 3 3 1, 2θ = 39.2°, intensity 19
hkl 4 2 0, 2θ = 40.2°, intensity 20
hkl 4 2 2, 2θ = 44.3°, intensity 20
hkl 5 1 1, 2θ = 47.1°, intensity 24
hkl 4 4 0, 2θ = 51.6°, intensity 35
hkl 5 3 1, 2θ = 54.1°, intensity 23
hkl 8 4 0, 2θ = 87.0°, intensity 15

Structural model:
```
data_K2WCl6
_space_group_name_H-M_alt 'F m -3 m'
_space_group_IT_number 225
_space_group_name_Hall '-F 4 2 3'
_cell_length_a 10.0204
_cell_length_b 10.0204
_cell_length_c 10.0204
_cell_angle_alpha 90.00
_cell_angle_beta 90.00
_cell_angle_gamma 90.00
loop_
_atom_site_label
_atom_site_fract_x
_atom_site_fract_y
_atom_site_fract_z
K1 0.2500 0.2500 0.2500
W1 0.0000 0.0000 0.0000
Cl1 0.0000 0.0000 0.2389
```